Starting from a cell relaxed with PBE, the X-ray powder pattern of Sr4C2N5 was simulated for Cu Kα, 1.54184 Å.

Structure:
```
data_Sr4C2N5
_cell_length_a 13.032
_cell_length_b 7.101
_cell_length_c 7.274
_cell_angle_alpha 90.00
_cell_angle_beta 100.89
_cell_angle_gamma 90.00
_space_group_name_H-M_alt 'P 1'
_space_group_IT_number 1
loop_
_space_group_symop_operation_xyz
'x,y,z'
loop_
_atom_site_label
_atom_site_fract_x
_atom_site_fract_y
_atom_site_fract_z
Sr1 0.039 0.230 0.007
Sr2 0.039 0.270 0.507
Sr3 0.172 0.594 0.268
Sr4 0.172 0.906 0.768
Sr5 0.322 0.177 0.150
Sr6 0.322 0.323 0.650
Sr7 0.389 0.659 0.029
Sr8 0.389 0.841 0.529
Sr9 0.611 0.159 0.471
Sr10 0.611 0.341 0.971
Sr11 0.678 0.677 0.350
Sr12 0.678 0.823 0.850
Sr13 0.828 0.094 0.232
Sr14 0.828 0.406 0.732
Sr15 0.961 0.730 0.493
Sr16 0.961 0.770 0.993
C1 0.136 0.508 0.782
C2 0.136 0.992 0.282
C3 0.465 0.018 0.884
C4 0.465 0.482 0.384
C5 0.535 0.518 0.616
C6 0.535 0.982 0.116
C7 0.864 0.008 0.718
C8 0.864 0.492 0.218
N1 0.030 0.523 0.787
N2 0.030 0.977 0.287
N3 0.170 0.579 0.623
N4 0.170 0.921 0.123
N5 0.206 0.085 0.423
N6 0.206 0.415 0.923
N7 0.362 0.509 0.357
N8 0.362 0.991 0.857
N9 0.479 0.568 0.746
N10 0.479 0.932 0.246
N11 0.521 0.068 0.754
N12 0.521 0.432 0.254
N13 0.638 0.009 0.143
N14 0.638 0.491 0.643
N15 0.794 0.585 0.077
N16 0.794 0.915 0.577
N17 0.830 0.079 0.877
N18 0.830 0.421 0.377
N19 0.970 0.023 0.713
N20 0.970 0.477 0.213
```

Principal peaks in the range 2θ = 15–90°, sorted by position:
| 2theta | I/Imax |
| --- | --- |
| 28.07 | 44.2 |
| 29.09 | 100.0 |
| 29.45 | 42.9 |
| 30.65 | 94.9 |
| 30.89 | 45.8 |
| 31.06 | 27.1 |
| 32.48 | 74.3 |
| 32.82 | 53.4 |
| 35.40 | 35.1 |
| 35.67 | 50.6 |
| 39.91 | 27.0 |
| 53.36 | 27.6 |

---

Starting from a cell relaxed with PBE, the X-ray powder pattern of Sr2CN2 was simulated for Cu Kα, 1.54184 Å.

Structure:
```
data_Sr2CN2
_cell_length_a 6.078
_cell_length_b 6.078
_cell_length_c 5.525
_cell_angle_alpha 90.00
_cell_angle_beta 90.00
_cell_angle_gamma 126.86
_space_group_name_H-M_alt 'P 1'
_space_group_IT_number 1
loop_
_space_group_symop_operation_xyz
'x,y,z'
loop_
_atom_site_label
_atom_site_fract_x
_atom_site_fract_y
_atom_site_fract_z
Sr1 0.104 0.896 0.757
Sr2 0.396 0.604 0.757
Sr3 0.604 0.396 0.243
Sr4 0.896 0.104 0.243
C1 0.250 0.750 0.152
C2 0.750 0.250 0.848
N1 0.136 0.864 0.252
N2 0.364 0.636 0.252
N3 0.636 0.364 0.748
N4 0.864 0.136 0.748
```

Principal peaks in the range 2θ = 15–90°, sorted by position:
| 2theta | I/Imax |
| --- | --- |
| 24.38 | 53.4 |
| 32.41 | 49.5 |
| 32.95 | 82.3 |
| 33.87 | 100.0 |
| 46.89 | 57.1 |
| 47.29 | 21.9 |
| 58.50 | 24.0 |
| 58.74 | 17.8 |
| 59.43 | 19.7 |
| 64.65 | 16.1 |
| 77.52 | 11.9 |
| 78.67 | 14.8 |

---

Question: What is the formula in the second record?
Answer: Sr2CN2

---

What did the second record say?
Starting from a cell relaxed with PBE, the X-ray powder pattern of Sr2CN2 was simulated for Cu Kα, 1.54184 Å.

Structure:
```
data_Sr2CN2
_cell_length_a 6.078
_cell_length_b 6.078
_cell_length_c 5.525
_cell_angle_alpha 90.00
_cell_angle_beta 90.00
_cell_angle_gamma 126.86
_space_group_name_H-M_alt 'P 1'
_space_group_IT_number 1
loop_
_space_group_symop_operation_xyz
'x,y,z'
loop_
_atom_site_label
_atom_site_fract_x
_atom_site_fract_y
_atom_site_fract_z
Sr1 0.104 0.896 0.757
Sr2 0.396 0.604 0.757
Sr3 0.604 0.396 0.243
Sr4 0.896 0.104 0.243
C1 0.250 0.750 0.152
C2 0.750 0.250 0.848
N1 0.136 0.864 0.252
N2 0.364 0.636 0.252
N3 0.636 0.364 0.748
N4 0.864 0.136 0.748
```

Principal peaks in the range 2θ = 15–90°, sorted by position:
| 2theta | I/Imax |
| --- | --- |
| 24.38 | 53.4 |
| 32.41 | 49.5 |
| 32.95 | 82.3 |
| 33.87 | 100.0 |
| 46.89 | 57.1 |
| 47.29 | 21.9 |
| 58.50 | 24.0 |
| 58.74 | 17.8 |
| 59.43 | 19.7 |
| 64.65 | 16.1 |
| 77.52 | 11.9 |
| 78.67 | 14.8 |